No. 1
Structure and simulated X-ray diffraction stick pattern of Co3C11O9 (a structure optimized by DFT (PBE+U); Cu Kα (λ = 1.5418 Å)).

Structure:
```
data_Co3C11O9
_chemical_formula_sum 'Co6 C22 O18'
_symmetry_space_group_name_H-M 'P -1'
_symmetry_Int_Tables_number 2
_cell_length_a 7.578
_cell_length_b 8.460
_cell_length_c 12.097
_cell_angle_alpha 71.18
_cell_angle_beta 74.32
_cell_angle_gamma 67.91
loop_
_symmetry_equiv_pos_as_xyz
'x,y,z'
'-x,-y,-z'
loop_
_atom_site_label
_atom_site_fract_x
_atom_site_fract_y
_atom_site_fract_z
Co1 0.050 0.160 0.185
Co2 0.152 0.329 0.272
Co3 0.367 0.037 0.247
C1 0.017 0.964 0.189
C2 0.036 0.032 0.449
C3 0.078 0.531 0.684
C4 0.115 0.105 0.338
C5 0.132 0.248 0.033
C6 0.194 0.717 0.795
C7 0.242 0.463 0.138
C8 0.266 0.342 0.376
C9 0.384 0.818 0.267
C10 0.471 0.997 0.662
C11 0.491 0.903 0.894
O1 0.010 0.164 0.807
O2 0.186 0.307 0.934
O3 0.229 0.439 0.655
O4 0.296 0.552 0.051
O5 0.340 0.353 0.443
O6 0.354 0.019 0.609
O7 0.358 0.639 0.784
O8 0.388 0.675 0.283
O9 0.394 0.869 0.984
```

Main lines, low angle first (2θ from 10° to 90°):
12.3 deg, I 60, (0 1 1)
13.8 deg, I 31, (1 0 1)
14.3 deg, I 40, (1 1 0)
15.6 deg, I 44, (0 1 -1)
15.7 deg, I 100, (0 0 2)
16.1 deg, I 45, (1 0 -1)
18.6 deg, I 29, (1 1 -1)
28.8 deg, I 50, (2 1 3)
31.6 deg, I 42, (2 -1 0)
32.1 deg, I 35, (1 3 2)

---

No. 2
Structure and simulated X-ray diffraction stick pattern of RbCoC4O4 (a structure optimized by DFT (PBE+U); Cu Kα (λ = 1.5418 Å)).

Structure:
```
data_RbCoC4O4
_chemical_formula_sum 'Rb8 Co8 C32 O32'
_symmetry_space_group_name_H-M 'C 1 2/c 1'
_symmetry_Int_Tables_number 15
_cell_length_a 22.135
_cell_length_b 5.706
_cell_length_c 14.242
_cell_angle_alpha 90.00
_cell_angle_beta 126.13
_cell_angle_gamma 90.00
loop_
_symmetry_equiv_pos_as_xyz
'x,y,z'
'-x,-y,-z'
'-x,y,-z+1/2'
'x,-y,z+1/2'
'x+1/2,y+1/2,z'
'-x+1/2,-y+1/2,-z'
'-x+1/2,y+1/2,-z+1/2'
'x+1/2,-y+1/2,z+1/2'
loop_
_atom_site_label
_atom_site_fract_x
_atom_site_fract_y
_atom_site_fract_z
Rb1 0.171 0.038 0.056
Co1 0.124 0.283 0.261
C1 0.040 0.138 0.161
C2 0.106 0.457 0.343
C3 0.145 0.484 0.194
C4 0.191 0.071 0.344
O1 0.016 0.042 0.406
O2 0.093 0.420 0.895
O3 0.159 0.372 0.650
O4 0.234 0.079 0.902
```

Main lines, low angle first (2θ from 10° to 90°):
19.3 deg, I 73, (1 1 1)
19.9 deg, I 81, (4 0 0)
20.4 deg, I 78, (1 1 -2)
25.1 deg, I 100, (4 0 -4)
26.9 deg, I 75, (5 1 -3)
29.5 deg, I 81, (5 1 0)
30.3 deg, I 80, (5 1 -4)
31.4 deg, I 76, (3 1 2)
35.1 deg, I 45, (0 2 2)
35.6 deg, I 60, (4 2 -2)

---

No. 3
Structure and simulated X-ray diffraction stick pattern of Co2C5SO5 (a structure optimized by DFT (PBE+U); Cu Kα (λ = 1.5418 Å)).

Structure:
```
data_Co2C5SO5
_chemical_formula_sum 'Co8 C20 S4 O20'
_symmetry_space_group_name_H-M 'P 1 21/c 1'
_symmetry_Int_Tables_number 14
_cell_length_a 9.725
_cell_length_b 6.495
_cell_length_c 14.477
_cell_angle_alpha 90.00
_cell_angle_beta 124.41
_cell_angle_gamma 90.00
loop_
_symmetry_equiv_pos_as_xyz
'x,y,z'
'-x,-y,-z'
'-x,y+1/2,-z+1/2'
'x,-y+1/2,z+1/2'
loop_
_atom_site_label
_atom_site_fract_x
_atom_site_fract_y
_atom_site_fract_z
Co1 0.147 0.070 0.470
Co2 0.158 0.543 0.144
C1 0.012 0.619 0.185
C2 0.263 0.199 0.008
C3 0.273 0.140 0.751
C4 0.282 0.586 0.955
C5 0.303 0.746 0.203
S1 0.012 0.704 0.977
O1 0.017 0.666 0.265
O2 0.347 0.055 0.036
O3 0.355 0.248 0.324
O4 0.374 0.677 0.944
O5 0.407 0.630 0.745
```

Main lines, low angle first (2θ from 10° to 90°):
11.0 deg, I 63, (1 0 0)
12.5 deg, I 27, (1 0 -2)
14.8 deg, I 14, (0 0 2)
15.5 deg, I 100, (0 1 1)
16.5 deg, I 74, (1 1 -1)
32.8 deg, I 15, (3 1 -4)
33.0 deg, I 18, (3 1 -1)
37.6 deg, I 14, (1 0 4)
43.9 deg, I 12, (3 2 0)
47.5 deg, I 9, (1 1 5)

---

No. 4
Structure and simulated X-ray diffraction stick pattern of Co3C9SeO9 (a structure optimized by DFT (PBE+U); Cu Kα (λ = 1.5418 Å)).

Structure:
```
data_Co3C9SeO9
_chemical_formula_sum 'Co6 C18 Se2 O18'
_symmetry_space_group_name_H-M 'P -1'
_symmetry_Int_Tables_number 2
_cell_length_a 7.765
_cell_length_b 8.484
_cell_length_c 11.032
_cell_angle_alpha 86.02
_cell_angle_beta 79.11
_cell_angle_gamma 68.61
loop_
_symmetry_equiv_pos_as_xyz
'x,y,z'
'-x,-y,-z'
loop_
_atom_site_label
_atom_site_fract_x
_atom_site_fract_y
_atom_site_fract_z
Co1 0.042 0.226 0.192
Co2 0.144 0.438 0.293
Co3 0.367 0.122 0.267
C1 0.027 0.027 0.174
C2 0.077 0.395 0.680
C3 0.132 0.267 0.041
C4 0.197 0.641 0.792
C5 0.245 0.505 0.152
C6 0.265 0.490 0.395
C7 0.390 0.907 0.262
C8 0.481 0.874 0.633
C9 0.499 0.861 0.877
Se1 0.082 0.215 0.393
O1 0.007 0.902 0.158
O2 0.188 0.293 0.939
O3 0.216 0.280 0.659
O4 0.306 0.556 0.061
O5 0.334 0.534 0.464
O6 0.356 0.564 0.783
O7 0.374 0.880 0.571
O8 0.403 0.767 0.260
O9 0.404 0.856 0.971
```

Main lines, low angle first (2θ from 10° to 90°):
12.4 deg, I 21, (1 0 0)
13.4 deg, I 50, (1 1 0)
13.6 deg, I 43, (1 0 1)
13.9 deg, I 100, (0 1 -1)
16.1 deg, I 19, (1 0 -1)
16.4 deg, I 36, (0 0 2)
16.8 deg, I 17, (1 1 -1)
30.8 deg, I 26, (2 1 3)
31.0 deg, I 33, (2 -1 0)
32.2 deg, I 21, (1 3 1)